Structure and theoretical X-ray powder pattern of Ba4NdTe5 (a DFT-relaxed cell (PBE, Alexandria); Cu Ka).

Main lines, sorted by position (10° ≤ 2θ ≤ 90°):
hkl 1 1 0, 2θ 25.74, I = 100
hkl 2 0 0, 2θ 36.72, I = 77
hkl 2 0 10, 2θ 45.38, I = 28
hkl 2 2 0, 2θ 52.90, I = 13
hkl 3 1 0, 2θ 59.73, I = 36
hkl 3 1 10, 2θ 66.12, I = 26
hkl 4 0 0, 2θ 78.09, I = 8
hkl 3 3 0, 2θ 83.85, I = 16
hkl 2 0 28, 2θ 88.63, I = 1
hkl 4 2 0, 2θ 89.54, I = 11

Unit cell a=4.895 b=4.895 c=34.618 alpha=90.00 beta=90.00 gamma=90.00
Space group I4/mmm (No. 139)
Unique sites:
Ba1 0.000 0.000 0.098 x4
Ba2 0.000 0.000 0.302 x4
Nd1 0.000 0.000 0.500 x2
Te1 0.000 0.000 0.000 x2
Te2 0.000 0.000 0.199 x4
Te3 0.000 0.000 0.407 x4